Computed X-ray diffraction stick pattern of Ac2HgGe for Cu Kα X-rays, from a structure optimized by DFT (PBE).
Neutral-atom scattering factors, no anomalous dispersion.

```
data_Ac2HgGe
_space_group_name_H-M_alt 'F m -3 m'
_space_group_IT_number 225
_space_group_name_Hall '-F 4 2 3'
_cell_length_a 7.952
_cell_length_b 7.952
_cell_length_c 7.952
_cell_angle_alpha 90.00
_cell_angle_beta 90.00
_cell_angle_gamma 90.00
loop_
_atom_site_label
_atom_site_fract_x
_atom_site_fract_y
_atom_site_fract_z
Ac1 0.250 0.250 0.250
Hg1 0.000 0.000 0.000
Ge1 0.000 0.000 0.500
```

Principal peaks in the range 2θ = 5–70°, most intense first:
(2 2 0), d 2.812, I 100; (4 2 2), d 1.623, I 40; (4 0 0), d 1.988, I 19; (4 4 0), d 1.406, I 12; (1 1 1), d 4.591, I 7; (2 0 0), d 3.976, I 6